The following is a theoretical powder diffractogram of ErMgBr. It was derived from a crystal structure in Alexandria, relaxed with GGA-PBE, using Cu Ka.

The 10 most intense peaks (10 to 90 degrees two-theta), low angle first:
- 11.3 deg, d = 7.816 Å, rel. 82
- 17.0 deg, d = 5.211 Å, rel. 19
- 28.8 deg, d = 3.099 Å, rel. 37
- 29.4 deg, d = 3.040 Å, rel. 31
- 33.6 deg, d = 2.664 Å, rel. 100
- 34.4 deg, d = 2.605 Å, rel. 17
- 37.0 deg, d = 2.428 Å, rel. 22
- 41.0 deg, d = 2.201 Å, rel. 31
- 45.5 deg, d = 1.994 Å, rel. 22
- 51.1 deg, d = 1.788 Å, rel. 18

Cell: 15.6321 3.5841 6.1899 Å, 90.00 90.00 90.00°
Space group Amm2 (No. 38)
Asymmetric unit:
Er 0.1690 0.0000 0.0000 [4 per cell]
Mg 0.0000 0.0000 0.3367 [2 per cell]
Mg 0.5000 0.0000 0.3247 [2 per cell]
Br 0.3000 0.0000 0.3330 [4 per cell]